No. 1
The following is a calculated powder X-ray diffraction pattern of LaTbY2Th. It was derived from a structure optimized by DFT (PBE), using Cu Kα.

Principal peaks in the range 2θ from 5° to 70°, in order of rising 2θ:
- 10.06 deg, d 8.797, intensity 10, hkl 0 0 1
- 20.19 deg, d 4.398, intensity 25, hkl 0 0 2
- 31.45 deg, d 2.845, intensity 100, hkl 0 2 0
- 32.46 deg, d 2.758, intensity 12, hkl 1 0 2
- 34.41 deg, d 2.606, intensity 15, hkl 0 1 3
- 36.19 deg, d 2.482, intensity 15, hkl 1 1 2
- 37.66 deg, d 2.389, intensity 11, hkl 0 2 2
- 43.09 deg, d 2.099, intensity 11, hkl 1 1 3
- 55.99 deg, d 1.642, intensity 18, hkl 1 3 1
- 61.02 deg, d 1.518, intensity 14, hkl 1 1 5

a b c (Å): 3.541 5.689 8.797
angles (deg): 90.00 90.00 90.00
Space group Pmmm (No. 47)
Asymmetric unit:
La1 0.000 0.000 0.000 x1
Tb1 0.500 0.000 0.500 x1
Y1 0.000 0.500 0.320 x2
Th1 0.500 0.500 0.000 x1


No. 2
The following is a calculated powder X-ray diffraction pattern of LaTb3YTh. It was derived from a structure optimized by DFT (PBE), using Cu Kα.

Principal peaks in the range 2θ from 5° to 70°, in order of rising 2θ:
- 30.31 deg, d 2.949, intensity 100, hkl 2 1 -2
- 30.47 deg, d 2.933, intensity 99, hkl 1 1 2
- 35.13 deg, d 2.555, intensity 34, hkl 1 0 -4
- 35.29 deg, d 2.543, intensity 67, hkl 0 2 0
- 50.62 deg, d 1.803, intensity 24, hkl 1 2 -4
- 50.77 deg, d 1.798, intensity 24, hkl 3 2 0
- 59.97 deg, d 1.543, intensity 14, hkl 3 1 -6
- 60.24 deg, d 1.536, intensity 43, hkl 2 3 -2
- 60.33 deg, d 1.534, intensity 14, hkl 1 3 2
- 60.51 deg, d 1.530, intensity 14, hkl 4 1 2

a b c (Å): 8.059 5.091 10.219
angles (deg): 90.00 108.93 90.00
Space group P2_1/m (No. 11)
Asymmetric unit:
La1 0.167 0.250 0.291 x2
Tb1 0.169 0.750 0.545 x2
Tb2 0.177 0.250 0.795 x2
Tb3 0.177 0.750 0.042 x2
Y1 0.498 0.250 0.629 x2
Th1 0.498 0.750 0.879 x2